TmFeB4: computed XRD peak list (λ = 1.5418 Å (Cu Kα)), based on a DFT-relaxed cell (GGA-PBE, the Materials Project).

Cell and atoms:
```
data_TmFeB4
_chemical_formula_sum 'Tm4 Fe4 B16'
_space_group_name_H-M_alt 'P b a m'
_space_group_IT_number 55
_cell_length_a 5.8464
_cell_length_b 11.3076
_cell_length_c 3.3396
_cell_angle_alpha 90.00
_cell_angle_beta 90.00
_cell_angle_gamma 90.00
loop_
_space_group_symop_operation_xyz
'x,y,z'
'-x,-y,-z'
'-x,-y,z'
'x,y,-z'
'x+1/2,-y+1/2,-z'
'-x+1/2,y+1/2,z'
'-x+1/2,y+1/2,-z'
'x+1/2,-y+1/2,z'
loop_
_atom_site_label
_atom_site_fract_x
_atom_site_fract_y
_atom_site_fract_z
Tm1 0.1263 0.1502 0.0000
Fe1 0.1338 0.4109 0.0000
B1 0.0248 0.6910 0.5000
B2 0.1120 0.5463 0.5000
B3 0.1380 0.9683 0.5000
B4 0.2169 0.8157 0.5000
```

The 10 most intense peaks (15 to 90 degrees two-theta), sorted by position:
2theta	I (rel.)	h k l
21.9	26	1 2 0
26.7	65	0 0 1
28.2	31	1 3 0
31.6	87	0 4 0
34.8	22	1 2 1
39.2	33	1 3 1
41.8	100	0 4 1
44.8	22	1 4 1
47.9	19	2 3 1
64.8	22	0 4 2